For Co3O5F, the PBE+U geometry in the Materials Project gives the calculated powder XRD pattern in this record (Cu Ka).

Structure:
Unit cell a=2.8880 b=4.5166 c=13.5377 alpha=90.00 beta=90.00 gamma=90.00
Space group Pmn2_1 (No. 31)
Symmetry-distinct sites (fractional):
1 Co 0.0000 0.2153 0.0000 [2 per cell]
2 Co 0.0000 0.2228 0.6835 [2 per cell]
3 Co 0.0000 0.2796 0.3424 [2 per cell]
4 O 0.0000 0.5304 0.9045 [2 per cell]
5 O 0.0000 0.5800 0.2433 [2 per cell]
6 O 0.0000 0.9062 0.7809 [2 per cell]
7 O 0.0000 0.9441 0.1126 [2 per cell]
8 O 0.0000 0.9851 0.4381 [2 per cell]
9 F 0.0000 0.5619 0.5727 [2 per cell]

Principal peaks in the range 10° ≤ 2θ ≤ 90°, sorted by position:
h k l	2θ (°)	I (rel.)
0 1 3	27.95	100
1 0 3	36.95	55
1 1 3	42.20	13
1 1 6	55.54	54
0 2 6	57.76	14
1 0 9	70.58	17


For Co3OF5, the PBE+U geometry in the Materials Project gives the calculated powder XRD pattern in this record (Cu Ka).

Structure:
Unit cell a=5.6980 b=4.7437 c=7.9116 alpha=90.00 beta=92.83 gamma=90.00
Space group P2_1 (No. 4)
Symmetry-distinct sites (fractional):
1 Co 0.0727 0.0000 0.3294 [2 per cell]
2 Co 0.2547 0.4986 0.9864 [2 per cell]
3 Co 0.4034 0.9543 0.6705 [2 per cell]
4 O 0.2176 0.6829 0.7613 [2 per cell]
5 F 0.0458 0.7828 0.1030 [2 per cell]
6 F 0.1244 0.1813 0.5622 [2 per cell]
7 F 0.2880 0.2919 0.2255 [2 per cell]
8 F 0.3848 0.7832 0.4249 [2 per cell]
9 F 0.4529 0.1796 0.8962 [2 per cell]

Principal peaks in the range 10° ≤ 2θ ≤ 90°, sorted by position:
h k l	2θ (°)	I (rel.)
1 1 -1	26.61	100
1 1 2	34.01	57
2 1 1	39.10	19
3 1 0	51.90	63
2 2 -2	54.82	18
3 1 3	65.05	13


For Co6O5F7, the PBE+U geometry in the Materials Project gives the calculated powder XRD pattern in this record (Cu Ka).

Structure:
Unit cell a=4.6286 b=5.5289 c=7.6543 alpha=86.43 beta=88.06 gamma=86.76
Space group P1 (No. 1)
Symmetry-distinct sites (fractional):
1 Co 0.0000 0.0000 0.0000 [1 per cell]
2 Co 0.0056 0.3264 0.6732 [1 per cell]
3 Co 0.0158 0.6780 0.3454 [1 per cell]
4 Co 0.4803 0.5172 0.0184 [1 per cell]
5 Co 0.5309 0.1699 0.3216 [1 per cell]
6 Co 0.5481 0.8602 0.6851 [1 per cell]
7 O 0.3025 0.8019 0.9072 [1 per cell]
8 O 0.3163 0.4650 0.2468 [1 per cell]
9 O 0.7043 0.2056 0.1045 [1 per cell]
10 O 0.7228 0.8828 0.4303 [1 per cell]
11 O 0.8197 0.0286 0.7836 [1 per cell]
12 F 0.1987 0.9731 0.2233 [1 per cell]
13 F 0.2043 0.2844 0.9089 [1 per cell]
14 F 0.2175 0.6431 0.5795 [1 per cell]
15 F 0.3282 0.1411 0.5542 [1 per cell]
16 F 0.7005 0.5360 0.7815 [1 per cell]
17 F 0.8122 0.3826 0.4432 [1 per cell]
18 F 0.8179 0.7136 0.0993 [1 per cell]

Principal peaks in the range 10° ≤ 2θ ≤ 90°, sorted by position:
h k l	2θ (°)	I (rel.)
1 1 1	26.45	100
-1 1 1	28.23	91
1 -1 2	35.30	81
2 0 3	52.70	31
2 2 2	54.46	30
2 -2 1	54.77	27


For Co3O4F2, the PBE+U geometry in the Materials Project gives the calculated powder XRD pattern in this record (Cu Ka).

Structure:
Unit cell a=5.4401 b=5.4536 c=6.8192 alpha=74.84 beta=74.57 gamma=77.30
Space group P-1 (No. 2)
Symmetry-distinct sites (fractional):
1 Co 0.0000 0.0000 0.0000 [1 per cell]
2 Co 0.0000 0.0000 0.5000 [1 per cell]
3 Co 0.2969 0.3735 0.1678 [2 per cell]
4 Co 0.3220 0.3322 0.6723 [2 per cell]
5 O 0.0186 0.6609 0.1632 [2 per cell]
6 O 0.0931 0.1137 0.2018 [2 per cell]
7 O 0.2184 0.2418 0.4636 [2 per cell]
8 O 0.4306 0.4342 0.8731 [2 per cell]
9 F 0.3207 0.7002 0.4898 [2 per cell]
10 F 0.3705 0.9563 0.8347 [2 per cell]

Principal peaks in the range 10° ≤ 2θ ≤ 90°, sorted by position:
h k l	2θ (°)	I (rel.)
1 -1 0	26.19	100
1 1 2	29.20	89
0 1 -2	35.93	27
1 2 0	36.08	52
2 1 0	36.20	25
2 3 2	56.52	25


For CoOF, the PBE+U geometry in the Materials Project gives the calculated powder XRD pattern in this record (Cu Ka).

Structure:
Unit cell a=6.2507 b=7.2187 c=2.9122 alpha=90.00 beta=90.00 gamma=90.00
Space group Cmmm (No. 65)
Symmetry-distinct sites (fractional):
1 Co 0.0000 0.0000 0.0000 [2 per cell]
2 Co 0.0000 0.5000 0.5000 [2 per cell]
3 O 0.1901 0.0000 0.5000 [4 per cell]
4 F 0.0000 0.3095 0.0000 [4 per cell]

Principal peaks in the range 10° ≤ 2θ ≤ 90°, sorted by position:
h k l	2θ (°)	I (rel.)
0 2 0	24.67	100
2 0 0	28.56	80
1 1 1	36.23	81
1 3 1	51.38	63
3 1 1	55.72	42
3 3 1	67.62	38


For Co2O3F, the PBE+U geometry in the Materials Project gives the calculated powder XRD pattern in this record (Cu Ka).

Structure:
Unit cell a=8.4040 b=6.3413 c=6.7137 alpha=90.00 beta=110.21 gamma=90.00
Space group C2 (No. 5)
Symmetry-distinct sites (fractional):
1 Co 0.0000 0.0000 0.0000 [2 per cell]
2 Co 0.0000 0.0131 0.5000 [2 per cell]
3 Co 0.1655 0.4627 0.1659 [4 per cell]
4 Co 0.1671 0.4861 0.6654 [4 per cell]
5 O 0.0000 0.3033 0.5000 [2 per cell]
6 O 0.0653 0.4736 0.8691 [4 per cell]
7 O 0.1024 0.9923 0.7953 [4 per cell]
8 O 0.1660 0.1778 0.1673 [4 per cell]
9 O 0.2339 0.9932 0.5377 [4 per cell]
10 F 0.0000 0.7120 0.5000 [2 per cell]
11 F 0.1550 0.7767 0.1557 [4 per cell]

Principal peaks in the range 10° ≤ 2θ ≤ 90°, sorted by position:
h k l	2θ (°)	I (rel.)
0 2 0	28.14	79
2 0 -2	29.55	82
3 1 0	37.01	100
3 3 0	55.81	46
1 1 -4	57.43	47
1 3 -4	72.44	29


For Co6O7F5, the PBE+U geometry in the Materials Project gives the calculated powder XRD pattern in this record (Cu Ka).

Structure:
Unit cell a=8.7489 b=6.1089 c=6.9676 alpha=90.00 beta=90.00 gamma=90.00
Space group Amm2 (No. 38)
Symmetry-distinct sites (fractional):
1 Co 0.0000 0.0000 0.0000 [2 per cell]
2 Co 0.1576 0.0000 0.4547 [4 per cell]
3 Co 0.3312 0.0000 0.9568 [4 per cell]
4 Co 0.5000 0.0000 0.4631 [2 per cell]
5 O 0.0000 0.0000 0.2832 [2 per cell]
6 O 0.1619 0.1942 0.9661 [8 per cell]
7 O 0.5000 0.1884 0.9607 [4 per cell]
8 F 0.0000 0.0000 0.6394 [2 per cell]
9 F 0.3187 0.0000 0.2750 [4 per cell]
10 F 0.3203 0.0000 0.6479 [4 per cell]

Principal peaks in the range 10° ≤ 2θ ≤ 90°, sorted by position:
h k l	2θ (°)	I (rel.)
0 0 2	25.57	100
0 2 0	29.24	79
3 1 1	36.50	84
0 0 4	52.55	73
3 3 1	56.69	42
3 3 3	69.31	35


For Co3OF5, the PBE+U geometry in the Materials Project gives the calculated powder XRD pattern in this record (Cu Ka).

Structure:
Unit cell a=6.6023 b=6.7729 c=9.4216 alpha=90.00 beta=91.13 gamma=90.00
Space group C2/m (No. 12)
Symmetry-distinct sites (fractional):
1 Co 0.0000 0.0000 0.0000 [2 per cell]
2 Co 0.0000 0.5000 0.5000 [2 per cell]
3 Co 0.0027 0.0000 0.3254 [4 per cell]
4 Co 0.0242 0.5000 0.8370 [4 per cell]
5 O 0.1740 0.0000 0.1469 [4 per cell]
6 F 0.0000 0.2985 0.0000 [4 per cell]
7 F 0.0093 0.3040 0.6689 [8 per cell]
8 F 0.1937 0.0000 0.5023 [4 per cell]
9 F 0.2120 0.0000 0.8403 [4 per cell]

Principal peaks in the range 10° ≤ 2θ ≤ 90°, sorted by position:
h k l	2θ (°)	I (rel.)
0 2 0	26.32	100
2 0 0	27.02	98
1 1 -3	34.05	58
1 1 3	34.51	52
1 3 -3	51.59	34
1 3 3	51.93	33


For Co2O3F, the PBE+U geometry in the Materials Project gives the calculated powder XRD pattern in this record (Cu Ka).

Structure:
Unit cell a=8.9005 b=6.0882 c=5.9584 alpha=90.00 beta=131.92 gamma=90.00
Space group Cm (No. 8)
Symmetry-distinct sites (fractional):
1 Co 0.0000 0.0000 0.0000 [2 per cell]
2 Co 0.9997 0.0000 0.4981 [2 per cell]
3 Co 0.0377 0.5000 0.7811 [2 per cell]
4 Co 0.4657 0.0000 0.2054 [2 per cell]
5 O 0.1769 0.0000 0.9219 [2 per cell]
6 O 0.3192 0.5000 0.0681 [2 per cell]
7 O 0.4981 0.1962 0.9959 [4 per cell]
8 O 0.4980 0.1984 0.4897 [4 per cell]
9 F 0.2134 0.0000 0.4657 [2 per cell]
10 F 0.2883 0.5000 0.5356 [2 per cell]

Principal peaks in the range 10° ≤ 2θ ≤ 90°, sorted by position:
h k l	2θ (°)	I (rel.)
2 0 0	26.92	86
0 2 0	29.34	81
3 1 -2	36.20	100
5 1 -2	53.84	47
3 3 -2	56.61	46
5 3 -2	70.52	29


For Co2O3F, the PBE+U geometry in the Materials Project gives the calculated powder XRD pattern in this record (Cu Ka).

Structure:
Unit cell a=6.0862 b=6.4843 c=12.0256 alpha=90.00 beta=90.00 gamma=90.00
Space group Cmc2_1 (No. 36)
Symmetry-distinct sites (fractional):
1 Co 0.0000 0.0030 0.0000 [4 per cell]
2 Co 0.0000 0.0067 0.7489 [4 per cell]
3 Co 0.0000 0.4640 0.1218 [4 per cell]
4 Co 0.0000 0.4735 0.8732 [4 per cell]
5 O 0.0000 0.1802 0.1286 [4 per cell]
6 O 0.0000 0.1962 0.8724 [4 per cell]
7 O 0.1971 0.4830 0.9934 [8 per cell]
8 O 0.2038 0.4964 0.7525 [8 per cell]
9 F 0.0000 0.2182 0.6224 [4 per cell]
10 F 0.0000 0.2238 0.3744 [4 per cell]

Principal peaks in the range 10° ≤ 2θ ≤ 90°, sorted by position:
h k l	2θ (°)	I (rel.)
0 2 0	27.51	74
2 0 0	29.35	74
1 1 4	36.09	100
1 3 4	54.41	43
3 1 4	56.54	44
3 3 4	71.02	26


For Co2O3F, the PBE+U geometry in the Materials Project gives the calculated powder XRD pattern in this record (Cu Ka).

Structure:
Unit cell a=8.8960 b=6.0846 c=5.9838 alpha=90.00 beta=132.22 gamma=90.00
Space group C2/m (No. 12)
Symmetry-distinct sites (fractional):
1 Co 0.0000 0.0000 0.0000 [2 per cell]
2 Co 0.0000 0.0000 0.5000 [2 per cell]
3 Co 0.0352 0.5000 0.2825 [4 per cell]
4 O 0.0000 0.2987 0.5000 [4 per cell]
5 O 0.0000 0.3037 0.0000 [4 per cell]
6 O 0.1771 0.0000 0.4295 [4 per cell]
7 F 0.2161 0.0000 0.9624 [4 per cell]

Principal peaks in the range 10° ≤ 2θ ≤ 90°, sorted by position:
h k l	2θ (°)	I (rel.)
2 0 0	27.07	83
0 2 0	29.36	78
3 1 -2	36.13	100
1 1 2	53.94	46
3 3 -2	56.57	45
1 3 2	70.62	28


For Co2O3F, the PBE+U geometry in the Materials Project gives the calculated powder XRD pattern in this record (Cu Ka).

Structure:
Unit cell a=8.8640 b=6.1417 c=5.8537 alpha=90.00 beta=130.70 gamma=90.00
Space group C2/m (No. 12)
Symmetry-distinct sites (fractional):
1 Co 0.0000 0.0000 0.0000 [2 per cell]
2 Co 0.0000 0.0000 0.5000 [2 per cell]
3 Co 0.0446 0.5000 0.2960 [4 per cell]
4 O 0.0000 0.3060 0.5000 [4 per cell]
5 O 0.0000 0.3112 0.0000 [4 per cell]
6 O 0.1776 0.0000 0.4237 [4 per cell]
7 F 0.2000 0.0000 0.9650 [4 per cell]

Principal peaks in the range 10° ≤ 2θ ≤ 90°, sorted by position:
h k l	2θ (°)	I (rel.)
2 0 0	26.53	100
0 2 0	29.08	97
1 1 -2	36.42	56
3 1 -2	36.67	49
5 1 -2	53.92	26
1 3 -2	56.45	28